[1]
Structure and theoretical powder diffractogram of RbPaAsO6 (DFT lattice parameters and positions (GGA-PBE); Cu Kα).
Kinematic intensities with the Lorentz-polarization factor, no thermal factor.

Lattice parameters (Å, degrees): 7.174 7.955 10.510 90.00 90.00 90.00
Space group Imma (No. 74)
Inequivalent atoms, fractional coordinates:
Rb: 0.000 0.250 0.095 (multiplicity 4)
Pa: 0.000 0.000 0.500 (multiplicity 4)
As: 0.250 0.250 0.750 (multiplicity 4)
O: 0.000 0.250 0.419 (multiplicity 4)
O: 0.000 0.250 0.806 (multiplicity 4)
O: 0.212 0.086 0.630 (multiplicity 16)

Most intense lines, 2θ = 10–80°, most intense first:
| 2theta | d [Å] | I_rel | index |
| --- | --- | --- | --- |
| 27.0 | 3.302 | 100.0 | 1 2 1 |
| 15.0 | 5.925 | 69.4 | 1 0 1 |
| 30.2 | 2.963 | 49.1 | 2 0 2 |
| 28.1 | 3.171 | 39.2 | 0 2 2 |
| 48.7 | 1.871 | 36.8 | 2 2 4 |
| 28.4 | 3.148 | 31.6 | 1 0 3 |


[2]
Structure and theoretical powder diffractogram of ScPaAsO6 (DFT lattice parameters and positions (GGA-PBE); Cu Kα).
Kinematic intensities with the Lorentz-polarization factor, no thermal factor.

Lattice parameters (Å, degrees): 4.860 4.860 9.909 90.00 90.00 90.00
Space group P4_2nm (No. 102)
Inequivalent atoms, fractional coordinates:
Sc: 0.000 0.000 0.000 (multiplicity 2)
Pa: 0.000 0.000 0.333 (multiplicity 2)
As: 0.000 0.000 0.663 (multiplicity 2)
O: 0.186 0.186 0.830 (multiplicity 4)
O: 0.189 0.189 0.516 (multiplicity 4)
O: 0.205 0.205 0.165 (multiplicity 4)

Most intense lines, 2θ = 10–80°, most intense first:
| 2theta | d [Å] | I_rel | index |
| --- | --- | --- | --- |
| 25.9 | 3.436 | 100.0 | 1 1 0 |
| 32.8 | 2.732 | 82.0 | 1 0 3 |
| 20.4 | 4.363 | 71.3 | 1 0 1 |
| 50.3 | 1.816 | 69.1 | 2 1 3 |
| 31.7 | 2.824 | 24.4 | 1 1 2 |
| 42.6 | 2.123 | 24.2 | 2 1 1 |


[3]
Structure and theoretical powder diffractogram of PaTl3As2O9 (DFT lattice parameters and positions (GGA-PBE); Cu Kα).
Kinematic intensities with the Lorentz-polarization factor, no thermal factor.

Lattice parameters (Å, degrees): 5.7674 5.7674 7.0857 90.00 90.00 120.00
Space group P-3m1 (No. 164)
Inequivalent atoms, fractional coordinates:
Pa: 0.0000 0.0000 0.0000 (multiplicity 1)
Tl: 0.0000 0.0000 0.5000 (multiplicity 1)
Tl: 0.3333 0.6667 0.1968 (multiplicity 2)
As: 0.3333 0.6667 0.6668 (multiplicity 2)
O: 0.0000 0.5000 0.5000 (multiplicity 3)
O: 0.1794 0.3588 0.8207 (multiplicity 6)

Most intense lines, 2θ = 10–80°, most intense first:
| 2theta | d [Å] | I_rel | index |
| --- | --- | --- | --- |
| 31.0 | 2.887 | 100.0 | 1 1 0 |
| 55.1 | 1.666 | 30.6 | 3 0 0 |
| 44.4 | 2.041 | 27.3 | 2 0 2 |
| 73.4 | 1.290 | 9.3 | 3 1 2 |
| 64.6 | 1.442 | 8.4 | 2 2 0 |
| 21.8 | 4.082 | 8.2 | 0 1 1 |


Q: Number 3 is which compound?
A: PaTl3As2O9